Entry 1:
# NaPm3Tl5
Theoretical XRD peak list, a wavelength of 1.5418 Å. Input: a DFT-relaxed cell (GGA-PBE, Alexandria).
Lines closer than 0.1° are merged.

Cell and atoms:
```
NaPm3Tl5
1.0
9.488 0.000 0.000
-4.744 8.216 0.000
0.000 0.000 6.584
Na Pm Tl
2 6 10
Direct
0.000 0.000 0.000
0.000 0.000 0.500
0.000 0.362 0.250
0.000 0.638 0.750
0.362 0.000 0.250
0.362 0.362 0.750
0.638 0.000 0.750
0.638 0.638 0.250
0.000 0.302 0.750
0.000 0.698 0.250
0.302 0.000 0.750
0.302 0.302 0.250
0.333 0.667 0.000
0.333 0.667 0.500
0.667 0.333 0.000
0.667 0.333 0.500
0.698 0.000 0.250
0.698 0.698 0.750
```

Top 10 peaks for 2θ = 10–80°, most intense first:
| Position (°2θ) | I (rel.) |
| --- | --- |
| 32.7 | 100 |
| 33.1 | 90 |
| 47.2 | 30 |
| 58.6 | 28 |
| 66.2 | 27 |
| 31.9 | 20 |
| 58.4 | 17 |
| 10.8 | 15 |
| 43.0 | 13 |
| 27.1 | 11 |

=====

Entry 2:
# K2HSe2
Theoretical XRD peak list, a wavelength of 1.5418 Å. Input: a DFT-relaxed cell (GGA-PBE, Alexandria).
Lines closer than 0.1° are merged.

Cell and atoms:
```
K2HSe2
1.0
5.723 -2.437 0.000
5.723 2.437 0.000
-4.072 0.000 10.775
K H Se
4 2 4
Direct
0.083 0.083 0.389
0.326 0.326 0.883
0.674 0.674 0.117
0.917 0.917 0.611
0.317 0.317 0.227
0.683 0.683 0.773
0.042 0.042 0.917
0.367 0.367 0.365
0.633 0.633 0.635
0.958 0.958 0.083
```

Top 10 peaks for 2θ = 10–80°, most intense first:
| Position (°2θ) | I (rel.) |
| --- | --- |
| 27.9 | 100 |
| 31.1 | 59 |
| 20.5 | 45 |
| 36.9 | 41 |
| 38.7 | 39 |
| 33.3 | 35 |
| 24.0 | 30 |
| 39.5 | 27 |
| 30.8 | 27 |
| 18.8 | 25 |

=====

Entry 3:
# LiSm4Pd12
Theoretical XRD peak list, a wavelength of 1.5418 Å. Input: a DFT-relaxed cell (GGA-PBE, Alexandria).
Lines closer than 0.1° are merged.

Cell and atoms:
```
LiSm4Pd12
1.0
-4.234 4.234 4.234
4.234 -4.234 4.234
4.234 4.234 -4.234
Li Sm Pd
1 4 12
Direct
0.000 0.000 0.000
0.000 0.000 0.500
0.000 0.500 0.000
0.500 0.000 0.000
0.500 0.500 0.500
0.000 0.279 0.279
0.000 0.721 0.721
0.250 0.500 0.750
0.250 0.750 0.500
0.279 0.000 0.279
0.279 0.279 0.000
0.500 0.250 0.750
0.500 0.750 0.250
0.721 0.000 0.721
0.721 0.721 0.000
0.750 0.250 0.500
0.750 0.500 0.250
```

Top 10 peaks for 2θ = 10–80°, most intense first:
| Position (°2θ) | I (rel.) |
| --- | --- |
| 36.8 | 100 |
| 42.7 | 49 |
| 74.3 | 33 |
| 62.0 | 30 |
| 78.2 | 10 |
| 29.8 | 3 |
| 14.8 | 2 |
| 50.6 | 2 |
| 45.4 | 2 |
| 21.0 | 2 |

=====

Entry 4:
# BaIn3Au3
Theoretical XRD peak list, a wavelength of 1.5418 Å. Input: a DFT-relaxed cell (GGA-PBE, Alexandria).
Lines closer than 0.1° are merged.

Cell and atoms:
```
BaIn3Au3
1.0
9.764 0.000 0.000
-4.882 8.456 0.000
0.000 0.000 4.550
Ba In Au
2 6 6
Direct
0.333 0.667 0.250
0.667 0.333 0.750
0.047 0.268 0.750
0.222 0.953 0.750
0.268 0.222 0.250
0.732 0.778 0.750
0.778 0.047 0.250
0.953 0.732 0.250
0.049 0.610 0.750
0.390 0.439 0.750
0.439 0.049 0.250
0.561 0.951 0.750
0.610 0.561 0.250
0.951 0.390 0.250
```

Top 10 peaks for 2θ = 10–80°, most intense first:
| Position (°2θ) | I (rel.) |
| --- | --- |
| 34.3 | 100 |
| 28.8 | 27 |
| 43.4 | 25 |
| 39.6 | 24 |
| 27.9 | 20 |
| 46.8 | 17 |
| 18.2 | 15 |
| 69.9 | 15 |
| 63.0 | 14 |
| 68.5 | 13 |

=====

Entry 5:
# Mg5Si9
Theoretical XRD peak list, a wavelength of 1.5418 Å. Input: a DFT-relaxed cell (GGA-PBE, Alexandria).
Lines closer than 0.1° are merged.

Cell and atoms:
```
Mg5Si9
1.0
6.563 0.000 0.000
2.772 6.847 0.000
2.412 0.809 12.144
Mg Si
10 18
Direct
0.000 0.000 0.000
0.005 0.360 0.791
0.118 0.647 0.352
0.156 0.690 0.846
0.238 0.098 0.366
0.299 0.246 0.001
0.514 0.361 0.174
0.587 0.280 0.440
0.653 0.853 0.501
0.668 0.640 0.300
0.017 0.107 0.197
0.059 0.872 0.534
0.070 0.415 0.197
0.133 0.056 0.654
0.176 0.332 0.540
0.201 0.574 0.639
0.329 0.798 0.169
0.452 0.898 0.903
0.472 0.863 0.716
0.562 0.533 0.670
0.578 0.391 0.858
0.613 0.940 0.123
0.627 0.582 0.992
0.703 0.073 0.642
0.713 0.006 0.288
0.749 0.042 0.833
0.813 0.468 0.497
0.925 0.643 0.047
```

Top 10 peaks for 2θ = 10–80°, most intense first:
| Position (°2θ) | I (rel.) |
| --- | --- |
| 35.5 | 100 |
| 44.3 | 46 |
| 26.5 | 42 |
| 29.7 | 40 |
| 37.9 | 31 |
| 34.1 | 29 |
| 36.6 | 28 |
| 36.4 | 27 |
| 33.2 | 27 |
| 41.4 | 23 |

=====

Entry 6:
# ScTaPb
Theoretical XRD peak list, a wavelength of 1.5418 Å. Input: a DFT-relaxed cell (GGA-PBE, Alexandria).
Lines closer than 0.1° are merged.

Cell and atoms:
```
ScTaPb
1.0
0.000 2.413 7.076
1.958 0.000 7.076
1.958 2.413 0.000
Sc Ta Pb
1 1 1
Direct
0.000 0.000 0.000
0.652 0.652 0.348
0.318 0.318 0.682
```

Top 10 peaks for 2θ = 10–80°, most intense first:
| Position (°2θ) | I (rel.) |
| --- | --- |
| 35.1 | 100 |
| 12.5 | 33 |
| 37.3 | 21 |
| 38.2 | 20 |
| 30.1 | 18 |
| 67.0 | 17 |
| 65.8 | 16 |
| 54.4 | 14 |
| 46.4 | 12 |
| 74.2 | 11 |

=====

Entry 7:
# Ac2Mg15Pb2
Theoretical XRD peak list, a wavelength of 1.5418 Å. Input: a DFT-relaxed cell (GGA-PBE, Alexandria).
Lines closer than 0.1° are merged.

Cell and atoms:
```
Ac2Mg15Pb2
1.0
5.286 3.052 5.115
-5.286 3.052 5.115
0.000 -6.104 5.115
Ac Mg Pb
2 15 2
Direct
0.163 0.163 0.163
0.837 0.837 0.837
0.000 0.500 0.500
0.151 0.151 0.664
0.151 0.664 0.151
0.193 0.500 0.807
0.193 0.807 0.500
0.336 0.849 0.849
0.500 0.000 0.500
0.500 0.193 0.807
0.500 0.500 0.000
0.500 0.807 0.193
0.664 0.151 0.151
0.807 0.193 0.500
0.807 0.500 0.193
0.849 0.336 0.849
0.849 0.849 0.336
0.397 0.397 0.397
0.603 0.603 0.603
```

Top 10 peaks for 2θ = 10–80°, most intense first:
| Position (°2θ) | I (rel.) |
| --- | --- |
| 16.8 | 100 |
| 29.3 | 48 |
| 33.9 | 40 |
| 34.9 | 27 |
| 25.2 | 27 |
| 30.4 | 23 |
| 34.2 | 20 |
| 45.4 | 18 |
| 39.2 | 17 |
| 30.7 | 16 |

=====

Entry 8:
# CaFeCuSb2
Theoretical XRD peak list, a wavelength of 1.5418 Å. Input: a DFT-relaxed cell (GGA-PBE, Alexandria).
Lines closer than 0.1° are merged.

Cell and atoms:
```
CaFeCuSb2
1.0
5.600 0.000 0.000
0.000 5.600 0.000
0.000 0.000 4.453
Ca Fe Cu Sb
1 1 1 2
Direct
0.000 0.000 0.000
0.000 0.000 0.500
0.500 0.500 0.500
0.000 0.500 0.000
0.500 0.000 0.000
```

Top 10 peaks for 2θ = 10–80°, most intense first:
| Position (°2θ) | I (rel.) |
| --- | --- |
| 30.2 | 100 |
| 32.0 | 68 |
| 55.9 | 34 |
| 52.5 | 32 |
| 45.8 | 24 |
| 62.8 | 18 |
| 40.5 | 18 |
| 19.9 | 16 |
| 38.0 | 12 |
| 76.0 | 10 |

=====

Entry 9:
# Dy3BiSbS
Theoretical XRD peak list, a wavelength of 1.5418 Å. Input: a DFT-relaxed cell (GGA-PBE, Alexandria).
Lines closer than 0.1° are merged.

Cell and atoms:
```
Dy3BiSbS
1.0
8.814 0.000 0.000
0.000 4.451 0.000
-1.495 0.000 9.527
Dy Bi Sb S
6 2 2 2
Direct
0.095 0.250 0.358
0.306 0.250 0.012
0.391 0.750 0.631
0.609 0.250 0.369
0.694 0.750 0.988
0.905 0.750 0.642
0.333 0.750 0.289
0.667 0.250 0.711
0.151 0.250 0.675
0.849 0.750 0.325
0.391 0.750 0.906
0.609 0.250 0.094
```

Top 10 peaks for 2θ = 10–80°, most intense first:
| Position (°2θ) | I (rel.) |
| --- | --- |
| 29.2 | 100 |
| 28.7 | 90 |
| 28.1 | 77 |
| 36.2 | 51 |
| 40.5 | 45 |
| 34.7 | 33 |
| 50.0 | 32 |
| 38.2 | 29 |
| 41.1 | 25 |
| 28.3 | 22 |

=====

Entry 10:
# ReNCl4
Theoretical XRD peak list, a wavelength of 1.5418 Å. Input: a DFT-relaxed cell (GGA-PBE, Alexandria).
Lines closer than 0.1° are merged.

Cell and atoms:
```
ReNCl4
1.0
-4.523 4.523 2.054
4.523 -4.523 2.054
4.523 4.523 -2.054
Re N Cl
1 1 4
Direct
0.000 0.000 0.000
0.411 0.411 0.000
0.156 0.847 0.177
0.670 0.979 0.823
0.847 0.670 0.691
0.979 0.156 0.309
```

Top 10 peaks for 2θ = 10–80°, most intense first:
| Position (°2θ) | I (rel.) |
| --- | --- |
| 13.8 | 100 |
| 23.8 | 75 |
| 19.6 | 32 |
| 31.3 | 31 |
| 47.0 | 25 |
| 31.0 | 25 |
| 42.2 | 16 |
| 44.8 | 16 |
| 37.0 | 15 |
| 55.5 | 15 |

=====

Entry 11:
# Mg2ZnGa2
Theoretical XRD peak list, a wavelength of 1.5418 Å. Input: a DFT-relaxed cell (GGA-PBE, Alexandria).
Lines closer than 0.1° are merged.

Cell and atoms:
```
Mg2ZnGa2
1.0
3.240 0.000 0.000
0.000 2.121 6.783
0.000 -2.121 6.783
Mg Zn Ga
2 1 2
Direct
0.000 0.000 0.000
0.000 0.226 0.226
0.500 0.415 0.415
0.500 0.610 0.610
0.500 0.812 0.812
```

Top 10 peaks for 2θ = 10–80°, most intense first:
| Position (°2θ) | I (rel.) |
| --- | --- |
| 39.4 | 100 |
| 35.5 | 97 |
| 27.5 | 52 |
| 48.8 | 44 |
| 22.0 | 42 |
| 42.6 | 41 |
| 38.4 | 40 |
| 71.4 | 32 |
| 58.7 | 22 |
| 51.5 | 18 |

=====

Entry 12:
# Y2Er7Tm3
Theoretical XRD peak list, a wavelength of 1.5418 Å. Input: a DFT-relaxed cell (GGA-PBE, Alexandria).
Lines closer than 0.1° are merged.

Cell and atoms:
```
Y2Er7Tm3
1.0
6.253 0.000 0.000
0.000 3.479 0.000
-1.884 0.000 17.110
Y Er Tm
2 7 3
Direct
0.062 0.000 0.174
0.938 0.000 0.826
0.000 0.500 0.500
0.226 0.000 0.668
0.256 0.000 0.999
0.276 0.500 0.336
0.724 0.500 0.664
0.744 0.000 0.001
0.774 0.000 0.332
0.448 0.500 0.843
0.500 0.000 0.500
0.552 0.500 0.157
```

Top 10 peaks for 2θ = 10–80°, most intense first:
| Position (°2θ) | I (rel.) |
| --- | --- |
| 31.8 | 100 |
| 31.4 | 95 |
| 35.3 | 82 |
| 31.2 | 81 |
| 30.2 | 71 |
| 34.3 | 66 |
| 62.5 | 49 |
| 51.1 | 36 |
| 53.7 | 36 |
| 38.6 | 24 |

=====

Entry 13:
# KAl7Zn12
Theoretical XRD peak list, a wavelength of 1.5418 Å. Input: a DFT-relaxed cell (GGA-PBE, Alexandria).
Lines closer than 0.1° are merged.

Cell and atoms:
```
KAl7Zn12
1.0
6.840 3.949 2.177
-6.840 3.949 2.177
0.000 -7.898 2.177
K Al Zn
1 7 12
Direct
0.000 0.000 0.000
0.200 0.200 0.544
0.200 0.544 0.200
0.456 0.800 0.800
0.500 0.500 0.500
0.544 0.200 0.200
0.800 0.456 0.800
0.800 0.800 0.456
0.000 0.262 0.738
0.000 0.738 0.262
0.057 0.396 0.396
0.262 0.000 0.738
0.262 0.738 0.000
0.396 0.057 0.396
0.396 0.396 0.057
0.604 0.604 0.943
0.604 0.943 0.604
0.738 0.000 0.262
0.738 0.262 0.000
0.943 0.604 0.604
```

Top 10 peaks for 2θ = 10–80°, most intense first:
| Position (°2θ) | I (rel.) |
| --- | --- |
| 30.5 | 100 |
| 41.1 | 76 |
| 39.5 | 73 |
| 43.3 | 56 |
| 38.9 | 51 |
| 33.2 | 47 |
| 24.1 | 44 |
| 41.5 | 43 |
| 35.8 | 41 |
| 12.9 | 37 |